# K5I2O
Computed PXRD pattern, copper Kα. Input: DFT lattice parameters and positions (PBE).

Structural model:
```
data_K5I2O
_symmetry_space_group_name_H-M 'P n m a'
_symmetry_Int_Tables_number 62
_cell_length_a 10.850
_cell_length_b 7.874
_cell_length_c 15.671
_cell_angle_alpha 90.00
_cell_angle_beta 90.00
_cell_angle_gamma 90.00
loop_
_symmetry_equiv_pos_as_xyz
'x,y,z'
'-x,-y,-z'
'-x+1/2,-y,z+1/2'
'x+1/2,y,-z+1/2'
'x+1/2,-y+1/2,-z+1/2'
'-x+1/2,y+1/2,z+1/2'
'-x,y+1/2,-z'
'x,-y+1/2,z'
loop_
_atom_site_label
_atom_site_type_symbol
_atom_site_fract_x
_atom_site_fract_y
_atom_site_fract_z
K1 K 0.000 0.000 0.000
K2 K 0.066 0.250 0.205
K3 K 0.183 0.517 0.609
K4 K 0.234 0.750 0.400
I1 I 0.060 0.750 0.198
I2 I 0.098 0.250 0.440
O1 O 0.166 0.250 0.052
```

The 6 most intense peaks (5° ≤ 2θ ≤ 70°), in order of rising 2θ:
- 2θ 17.30, intensity 36, (2 0 1)
- 2θ 17.94, intensity 55, (1 1 2)
- 2θ 22.92, intensity 43, (2 1 2)
- 2θ 27.73, intensity 42, (3 1 1)
- 2θ 28.59, intensity 55, (2 2 1)
- 2θ 29.62, intensity 100, (1 0 5)

---

# K3IO4
Computed PXRD pattern, copper Kα. Input: DFT lattice parameters and positions (PBE).

Structural model:
```
data_K3IO4
_symmetry_space_group_name_H-M 'P m n 21'
_symmetry_Int_Tables_number 31
_cell_length_a 8.527
_cell_length_b 7.354
_cell_length_c 5.709
_cell_angle_alpha 90.00
_cell_angle_beta 90.00
_cell_angle_gamma 90.00
loop_
_symmetry_equiv_pos_as_xyz
'x,y,z'
'-x+1/2,-y,z+1/2'
'-x,y,z'
'x+1/2,-y,z+1/2'
loop_
_atom_site_label
_atom_site_type_symbol
_atom_site_fract_x
_atom_site_fract_y
_atom_site_fract_z
K1 K 0.000 0.153 0.000
K2 K 0.243 0.326 0.499
I1 I 0.000 0.824 0.495
O1 O 0.000 0.091 0.490
O2 O 0.000 0.820 0.168
O3 O 0.201 0.692 0.495
```

The 6 most intense peaks (5° ≤ 2θ ≤ 70°), in order of rising 2θ:
- 2θ 15.91, intensity 39, (1 1 0)
- 2θ 18.71, intensity 39, (1 0 1)
- 2θ 24.16, intensity 66, (0 2 0)
- 2θ 28.84, intensity 100, (2 1 1)
- 2θ 31.34, intensity 38, (0 0 2)
- 2θ 42.54, intensity 30, (2 3 0)

---

# KI3O9
Computed PXRD pattern, copper Kα. Input: DFT lattice parameters and positions (PBE).

Structural model:
```
data_KI3O9
_symmetry_space_group_name_H-M 'P -1'
_symmetry_Int_Tables_number 2
_cell_length_a 7.155
_cell_length_b 7.458
_cell_length_c 9.429
_cell_angle_alpha 90.13
_cell_angle_beta 106.97
_cell_angle_gamma 117.23
loop_
_symmetry_equiv_pos_as_xyz
'x,y,z'
'-x,-y,-z'
loop_
_atom_site_label
_atom_site_type_symbol
_atom_site_fract_x
_atom_site_fract_y
_atom_site_fract_z
K1 K 0.088 0.307 0.393
I1 I 0.020 0.227 0.805
I2 I 0.454 0.775 0.169
I3 I 0.478 0.284 0.209
O1 O 0.109 0.136 0.671
O2 O 0.172 0.083 0.171
O3 O 0.195 0.728 0.033
O4 O 0.206 0.745 0.327
O5 O 0.223 0.538 0.786
O6 O 0.353 0.456 0.123
O7 O 0.383 0.172 0.969
O8 O 0.416 0.918 0.757
O9 O 0.473 0.635 0.599
```

The 6 most intense peaks (5° ≤ 2θ ≤ 70°), in order of rising 2θ:
- 2θ 9.94, intensity 100, (0 0 1)
- 2θ 19.95, intensity 98, (0 0 2)
- 2θ 27.25, intensity 83, (0 2 0)
- 2θ 29.75, intensity 50, (2 0 0)
- 2θ 29.91, intensity 57, (2 0 -2)
- 2θ 32.26, intensity 37, (-2 2 2)

---

# KI2O7
Computed PXRD pattern, copper Kα. Input: DFT lattice parameters and positions (PBE).

Structural model:
```
data_KI2O7
_symmetry_space_group_name_H-M 'C m m m'
_symmetry_Int_Tables_number 65
_symmetry_space_group_name_Hall '-C 2 2'
_cell_length_a 6.250
_cell_length_b 10.695
_cell_length_c 3.945
_cell_angle_alpha 90.00
_cell_angle_beta 90.00
_cell_angle_gamma 90.00
loop_
_atom_site_label
_atom_site_type_symbol
_atom_site_fract_x
_atom_site_fract_y
_atom_site_fract_z
K1 K 0.000 0.000 0.000
I1 I 0.000 0.307 0.500
O1 O 0.000 0.304 0.000
O2 O 0.000 0.500 0.500
O3 O 0.184 0.144 0.500
```

The 6 most intense peaks (5° ≤ 2θ ≤ 70°), in order of rising 2θ:
- 2θ 16.58, intensity 78, (0 2 0)
- 2θ 22.54, intensity 87, (0 0 1)
- 2θ 28.07, intensity 100, (0 2 1)
- 2θ 28.56, intensity 61, (2 0 0)
- 2θ 28.83, intensity 85, (1 3 0)
- 2θ 50.72, intensity 69, (3 3 0)

---

# KI2O2
Computed PXRD pattern, copper Kα. Input: DFT lattice parameters and positions (PBE).

Structural model:
```
data_KI2O2
_symmetry_space_group_name_H-M 'P 4/m m m'
_symmetry_Int_Tables_number 123
_symmetry_space_group_name_Hall '-P 4 2'
_cell_length_a 4.303
_cell_length_b 4.303
_cell_length_c 7.322
_cell_angle_alpha 90.00
_cell_angle_beta 90.00
_cell_angle_gamma 90.00
loop_
_atom_site_label
_atom_site_type_symbol
_atom_site_fract_x
_atom_site_fract_y
_atom_site_fract_z
K1 K 0.000 0.000 0.000
I1 I 0.500 0.500 0.000
I2 I 0.500 0.500 0.500
O1 O 0.000 0.500 0.500
```

The 6 most intense peaks (5° ≤ 2θ ≤ 70°), in order of rising 2θ:
- 2θ 20.64, intensity 100, (1 0 0)
- 2θ 24.31, intensity 83, (0 0 2)
- 2θ 29.35, intensity 63, (1 1 0)
- 2θ 32.10, intensity 66, (1 0 2)
- 2θ 38.47, intensity 61, (1 1 2)
- 2θ 49.11, intensity 45, (2 0 2)

---

# KI2O4
Computed PXRD pattern, copper Kα. Input: DFT lattice parameters and positions (PBE).

Structural model:
```
data_KI2O4
_symmetry_space_group_name_H-M 'I -4 2 d'
_symmetry_Int_Tables_number 122
_symmetry_space_group_name_Hall 'I -4 2bw'
_cell_length_a 10.068
_cell_length_b 10.068
_cell_length_c 6.855
_cell_angle_alpha 90.00
_cell_angle_beta 90.00
_cell_angle_gamma 90.00
loop_
_atom_site_label
_atom_site_type_symbol
_atom_site_fract_x
_atom_site_fract_y
_atom_site_fract_z
K1 K 0.000 0.000 0.000
I1 I 0.244 0.750 0.625
O1 O 0.120 0.744 0.323
```

The 6 most intense peaks (5° ≤ 2θ ≤ 70°), in order of rising 2θ:
- 2θ 17.62, intensity 100, (2 0 0)
- 2θ 25.02, intensity 60, (2 2 0)
- 2θ 28.91, intensity 48, (1 1 2)
- 2θ 38.60, intensity 60, (3 1 2)
- 2θ 53.55, intensity 24, (5 1 2)
- 2θ 59.97, intensity 25, (5 3 2)

---

# K2IO9
Computed PXRD pattern, copper Kα. Input: DFT lattice parameters and positions (PBE).

Structural model:
```
data_K2IO9
_symmetry_space_group_name_H-M 'P -1'
_symmetry_Int_Tables_number 2
_cell_length_a 7.788
_cell_length_b 7.977
_cell_length_c 9.255
_cell_angle_alpha 99.96
_cell_angle_beta 94.95
_cell_angle_gamma 118.28
loop_
_symmetry_equiv_pos_as_xyz
'x,y,z'
'-x,-y,-z'
loop_
_atom_site_label
_atom_site_type_symbol
_atom_site_fract_x
_atom_site_fract_y
_atom_site_fract_z
K1 K 0.114 0.289 0.174
K2 K 0.208 0.958 0.430
I1 I 0.305 0.566 0.629
O1 O 0.025 0.878 0.127
O2 O 0.074 0.513 0.689
O3 O 0.125 0.019 0.705
O4 O 0.149 0.163 0.823
O5 O 0.256 0.354 0.488
O6 O 0.307 0.687 0.074
O7 O 0.389 0.775 0.549
O8 O 0.432 0.861 0.128
O9 O 0.491 0.619 0.785
```

The 6 most intense peaks (5° ≤ 2θ ≤ 70°), in order of rising 2θ:
- 2θ 9.89, intensity 100, (0 0 1)
- 2θ 14.29, intensity 51, (0 1 -1)
- 2θ 22.92, intensity 49, (2 -1 0)
- 2θ 24.38, intensity 66, (-1 1 2)
- 2θ 25.61, intensity 82, (0 2 -1)
- 2θ 26.41, intensity 64, (2 0 -1)

---

# K2I2O3
Computed PXRD pattern, copper Kα. Input: DFT lattice parameters and positions (PBE).

Structural model:
```
data_K2I2O3
_symmetry_space_group_name_H-M 'P 1 c 1'
_symmetry_Int_Tables_number 7
_cell_length_a 5.999
_cell_length_b 5.524
_cell_length_c 12.113
_cell_angle_alpha 90.00
_cell_angle_beta 119.54
_cell_angle_gamma 90.00
loop_
_symmetry_equiv_pos_as_xyz
'x,y,z'
'x,-y,z+1/2'
loop_
_atom_site_label
_atom_site_type_symbol
_atom_site_fract_x
_atom_site_fract_y
_atom_site_fract_z
K1 K 0.000 0.237 0.000
K2 K 0.485 0.240 0.501
I1 I 0.219 0.278 0.751
I2 I 0.737 0.239 0.268
O1 O 0.051 0.458 0.349
O2 O 0.361 0.066 0.670
O3 O 0.484 0.251 0.922
```

The 6 most intense peaks (5° ≤ 2θ ≤ 70°), in order of rising 2θ:
- 2θ 16.83, intensity 24, (0 0 2)
- 2θ 21.87, intensity 29, (1 1 -1)
- 2θ 27.72, intensity 100, (1 1 -3)
- 2θ 29.79, intensity 19, (2 0 -2)
- 2θ 32.41, intensity 16, (0 2 0)
- 2θ 51.62, intensity 17, (3 1 -5)

---

# KOsIO2
Computed PXRD pattern, copper Kα. Input: DFT lattice parameters and positions (PBE).

Structural model:
```
data_KOsIO2
_symmetry_space_group_name_H-M 'P 4/m m m'
_symmetry_Int_Tables_number 123
_symmetry_space_group_name_Hall '-P 4 2'
_cell_length_a 4.061
_cell_length_b 4.061
_cell_length_c 5.862
_cell_angle_alpha 90.00
_cell_angle_beta 90.00
_cell_angle_gamma 90.00
loop_
_atom_site_label
_atom_site_type_symbol
_atom_site_fract_x
_atom_site_fract_y
_atom_site_fract_z
K1 K 0.000 0.000 0.000
Os1 Os 0.500 0.500 0.500
I1 I 0.500 0.500 0.000
O1 O 0.000 0.500 0.500
```

The 6 most intense peaks (5° ≤ 2θ ≤ 70°), in order of rising 2θ:
- 2θ 21.89, intensity 100, (1 0 0)
- 2θ 30.50, intensity 45, (0 0 2)
- 2θ 31.15, intensity 58, (1 1 0)
- 2θ 37.85, intensity 50, (1 0 2)
- 2θ 44.15, intensity 45, (1 1 2)
- 2θ 55.02, intensity 33, (2 0 2)

---

# KP2IO8
Computed PXRD pattern, copper Kα. Input: DFT lattice parameters and positions (PBE).

Structural model:
```
data_KP2IO8
_symmetry_space_group_name_H-M 'C 1 2/m 1'
_symmetry_Int_Tables_number 12
_cell_length_a 8.400
_cell_length_b 5.367
_cell_length_c 8.406
_cell_angle_alpha 90.00
_cell_angle_beta 93.61
_cell_angle_gamma 90.00
loop_
_symmetry_equiv_pos_as_xyz
'x,y,z'
'-x,-y,-z'
'-x,y,-z'
'x,-y,z'
'x+1/2,y+1/2,z'
'-x+1/2,-y+1/2,-z'
'-x+1/2,y+1/2,-z'
'x+1/2,-y+1/2,z'
loop_
_atom_site_label
_atom_site_type_symbol
_atom_site_fract_x
_atom_site_fract_y
_atom_site_fract_z
K1 K 0.000 0.000 0.000
P1 P 0.135 0.500 0.294
I1 I 0.000 0.000 0.500
O1 O 0.025 0.263 0.315
O2 O 0.202 0.500 0.134
O3 O 0.244 0.000 0.554
```

The 6 most intense peaks (5° ≤ 2θ ≤ 70°), in order of rising 2θ:
- 2θ 10.54, intensity 100, (0 0 1)
- 2θ 19.64, intensity 30, (1 1 0)
- 2θ 21.19, intensity 35, (2 0 0)
- 2θ 22.02, intensity 51, (1 1 -1)
- 2θ 28.53, intensity 49, (1 1 -2)
- 2θ 29.54, intensity 34, (1 1 2)

---

# KPIO2
Computed PXRD pattern, copper Kα. Input: DFT lattice parameters and positions (PBE).

Structural model:
```
data_KPIO2
_symmetry_space_group_name_H-M 'P 4/m m m'
_symmetry_Int_Tables_number 123
_symmetry_space_group_name_Hall '-P 4 2'
_cell_length_a 4.112
_cell_length_b 4.112
_cell_length_c 5.508
_cell_angle_alpha 90.00
_cell_angle_beta 90.00
_cell_angle_gamma 90.00
loop_
_atom_site_label
_atom_site_type_symbol
_atom_site_fract_x
_atom_site_fract_y
_atom_site_fract_z
K1 K 0.000 0.000 0.000
P1 P 0.500 0.500 0.500
I1 I 0.500 0.500 0.000
O1 O 0.000 0.500 0.500
```

The 6 most intense peaks (5° ≤ 2θ ≤ 70°), in order of rising 2θ:
- 2θ 16.09, intensity 57, (0 0 1)
- 2θ 21.61, intensity 81, (1 0 0)
- 2θ 30.75, intensity 66, (1 1 0)
- 2θ 32.51, intensity 57, (0 0 2)
- 2θ 34.89, intensity 100, (1 1 1)
- 2θ 44.04, intensity 46, (2 0 0)

---

# KPbIO5
Computed PXRD pattern, copper Kα. Input: DFT lattice parameters and positions (PBE).

Structural model:
```
data_KPbIO5
_symmetry_space_group_name_H-M 'C 1 2/c 1'
_symmetry_Int_Tables_number 15
_cell_length_a 7.638
_cell_length_b 10.411
_cell_length_c 7.851
_cell_angle_alpha 90.00
_cell_angle_beta 109.80
_cell_angle_gamma 90.00
loop_
_symmetry_equiv_pos_as_xyz
'x,y,z'
'-x,-y,-z'
'-x,y,-z+1/2'
'x,-y,z+1/2'
'x+1/2,y+1/2,z'
'-x+1/2,-y+1/2,-z'
'-x+1/2,y+1/2,-z+1/2'
'x+1/2,-y+1/2,z+1/2'
loop_
_atom_site_label
_atom_site_type_symbol
_atom_site_fract_x
_atom_site_fract_y
_atom_site_fract_z
K1 K 0.000 0.172 0.250
Pb1 Pb 0.000 0.500 0.000
I1 I 0.000 0.174 0.750
O1 O 0.000 0.423 0.250
O2 O 0.099 0.289 0.618
O3 O 0.199 0.073 0.926
```

The 6 most intense peaks (5° ≤ 2θ ≤ 70°), in order of rising 2θ:
- 2θ 14.98, intensity 68, (1 1 0)
- 2θ 24.60, intensity 99, (1 1 -2)
- 2θ 24.78, intensity 81, (2 0 0)
- 2θ 28.56, intensity 100, (1 3 0)
- 2θ 29.66, intensity 66, (0 2 2)
- 2θ 31.94, intensity 33, (1 1 2)